1.
Calculated X-ray diffraction stick pattern
Compound: Th2ZnIn8
Radiation: Cu Kα X-rays
Structure: a cell relaxed with GGA-PBE
No peak broadening, texture or thermal motion is included.

Largest 12 diffraction maxima, in order of rising 2θ, 2θ from 10° to 90°:
- 18.4°, rel. 11
- 27.1°, rel. 9
- 30.0°, rel. 36
- 34.2°, rel. 100
- 36.5°, rel. 16
- 37.3°, rel. 52
- 53.1°, rel. 22
- 53.8°, rel. 18
- 59.1°, rel. 9
- 62.8°, rel. 9
- 65.3°, rel. 30
- 66.7°, rel. 26

Structural model:
```
data_Th2ZnIn8
_cell_length_a 4.822
_cell_length_b 4.822
_cell_length_c 12.322
_cell_angle_alpha 90.00
_cell_angle_beta 90.00
_cell_angle_gamma 90.00
_symmetry_space_group_name_H-M 'P 1'
_symmetry_Int_Tables_number 1
_symmetry_space_group_name_Hall 'P 1'
loop_
_atom_site_label
_atom_site_type_symbol
_atom_site_fract_x
_atom_site_fract_y
_atom_site_fract_z
_atom_site_occupancy
Th1 Th 0.000 0.000 0.186 1
Th2 Th 0.000 0.000 0.814 1
Zn1 Zn 0.000 0.000 0.500 1
In1 In 0.000 0.500 0.000 1
In2 In 0.000 0.500 0.375 1
In3 In 0.000 0.500 0.625 1
In4 In 0.500 0.000 0.000 1
In5 In 0.500 0.000 0.375 1
In6 In 0.500 0.000 0.625 1
In7 In 0.500 0.500 0.188 1
In8 In 0.500 0.500 0.812 1
```

---

2.
Calculated X-ray diffraction stick pattern
Compound: Th2ZnIn
Radiation: Cu Kα X-rays
Structure: a cell relaxed with GGA-PBE
No peak broadening, texture or thermal motion is included.

Largest 12 diffraction maxima, in order of rising 2θ, 2θ from 10° to 90°:
- 19.9°, rel. 26
- 25.2°, rel. 20
- 26.4°, rel. 15
- 32.3°, rel. 100
- 32.6°, rel. 14
- 33.3°, rel. 99
- 36.9°, rel. 74
- 40.4°, rel. 25
- 42.2°, rel. 19
- 55.8°, rel. 36
- 63.0°, rel. 25
- 64.7°, rel. 27

Structural model:
```
data_Th2ZnIn
_cell_length_a 6.741
_cell_length_b 8.940
_cell_length_c 7.064
_cell_angle_alpha 90.00
_cell_angle_beta 90.00
_cell_angle_gamma 90.00
_symmetry_space_group_name_H-M 'P 1'
_symmetry_Int_Tables_number 1
_symmetry_space_group_name_Hall 'P 1'
loop_
_atom_site_label
_atom_site_type_symbol
_atom_site_fract_x
_atom_site_fract_y
_atom_site_fract_z
_atom_site_occupancy
Th1 Th 0.250 0.022 0.250 1
Th2 Th 0.250 0.478 0.250 1
Th3 Th 0.250 0.522 0.750 1
Th4 Th 0.250 0.978 0.750 1
Th5 Th 0.750 0.022 0.250 1
Th6 Th 0.750 0.478 0.250 1
Th7 Th 0.750 0.522 0.750 1
Th8 Th 0.750 0.978 0.750 1
Zn1 Zn 0.000 0.250 0.533 1
Zn2 Zn 0.000 0.750 0.467 1
Zn3 Zn 0.500 0.250 0.967 1
Zn4 Zn 0.500 0.750 0.033 1
In1 In 0.000 0.250 0.959 1
In2 In 0.000 0.750 0.041 1
In3 In 0.500 0.250 0.541 1
In4 In 0.500 0.750 0.459 1
```